No. 1
This entry pairs a crystal structure of CeMg6Ti with its theoretical X-ray diffraction stick pattern. Radiation: a wavelength of 1.5418 Å. Structure: a cell relaxed with PBE.
Lines closer than 0.1° are merged.

Structure:
```
data_CeMg6Ti
_chemical_formula_sum 'Ce2 Mg12 Ti2'
_cell_length_a 4.956
_cell_length_b 6.449
_cell_length_c 11.601
_cell_angle_alpha 90.00
_cell_angle_beta 90.00
_cell_angle_gamma 90.00
_space_group_name_H-M_alt 'A m m 2'
_space_group_IT_number 38
loop_
_space_group_symop_operation_xyz
'x,y,z'
'-x,-y,z'
'-x,y,z'
'x,-y,z'
'x,y+1/2,z+1/2'
'-x,-y+1/2,z+1/2'
'-x,y+1/2,z+1/2'
'x,-y+1/2,z+1/2'
loop_
_atom_site_label
_atom_site_fract_x
_atom_site_fract_y
_atom_site_fract_z
_atom_site_occupancy
Ce1 0.000 0.000 0.000 1
Mg1 0.000 0.000 0.472 1
Mg2 0.000 0.242 0.233 1
Mg3 0.500 0.000 0.631 1
Mg4 0.500 0.247 0.380 1
Ti1 0.500 0.000 0.114 1
```

Largest 10 diffraction maxima, by angle, 2θ = 10–80°:
d_spacing, I (rel.), index
5.801, 45, 0 0 2
5.636, 100, 0 1 1
3.768, 25, 1 0 2
3.722, 39, 1 1 1
2.818, 59, 0 2 2
2.756, 29, 1 1 3
2.503, 81, 1 0 4
2.478, 42, 2 0 0
2.450, 91, 1 2 2
1.861, 34, 2 2 2

---

No. 2
This entry pairs a crystal structure of CeMg14Ti with its theoretical X-ray diffraction stick pattern. Radiation: a wavelength of 1.5418 Å. Structure: a cell relaxed with PBE.
Lines closer than 0.1° are merged.

Structure:
```
data_CeMg14Ti
_chemical_formula_sum 'Ce2 Mg28 Ti2'
_cell_length_a 10.425
_cell_length_b 6.226
_cell_length_c 11.460
_cell_angle_alpha 90.00
_cell_angle_beta 90.00
_cell_angle_gamma 90.00
_space_group_name_H-M_alt 'A m m 2'
_space_group_IT_number 38
loop_
_space_group_symop_operation_xyz
'x,y,z'
'-x,-y,z'
'-x,y,z'
'x,-y,z'
'x,y+1/2,z+1/2'
'-x,-y+1/2,z+1/2'
'-x,y+1/2,z+1/2'
'x,-y+1/2,z+1/2'
loop_
_atom_site_label
_atom_site_fract_x
_atom_site_fract_y
_atom_site_fract_z
_atom_site_occupancy
Ce1 0.000 0.000 0.000 1
Mg1 0.000 0.246 0.250 1
Mg2 0.241 0.000 0.655 1
Mg3 0.254 0.246 0.408 1
Mg4 0.258 0.000 0.161 1
Mg5 0.500 0.000 0.496 1
Mg6 0.500 0.000 0.995 1
Mg7 0.500 0.248 0.746 1
Ti1 0.000 0.000 0.492 1
```

Largest 10 diffraction maxima, by angle, 2θ = 10–80°:
d_spacing, I (rel.), index
5.021, 27, 1 0 2
4.844, 20, 1 1 1
2.735, 32, 0 2 2
2.606, 42, 4 0 0
2.511, 62, 2 0 4
2.422, 100, 2 2 2
1.887, 21, 4 2 2
1.628, 19, 0 2 6
1.467, 19, 6 2 2
1.381, 28, 4 2 6

---

No. 3
This entry pairs a crystal structure of CeTmMg2 with its theoretical X-ray diffraction stick pattern. Radiation: a wavelength of 1.5418 Å. Structure: a cell relaxed with PBE.
Lines closer than 0.1° are merged.

Structure:
```
data_CeTmMg2
_chemical_formula_sum 'Ce4 Tm4 Mg8'
_cell_length_a 7.637
_cell_length_b 7.637
_cell_length_c 7.637
_cell_angle_alpha 90.00
_cell_angle_beta 90.00
_cell_angle_gamma 90.00
_space_group_name_H-M_alt 'F m -3 m'
_space_group_IT_number 225
_space_group_name_Hall '-F 4 2 3'
loop_
_atom_site_label
_atom_site_fract_x
_atom_site_fract_y
_atom_site_fract_z
_atom_site_occupancy
Ce1 0.000 0.000 0.000 1
Tm1 0.000 0.000 0.500 1
Mg1 0.250 0.250 0.250 1
```

Largest 10 diffraction maxima, by angle, 2θ = 10–80°:
d_spacing, I (rel.), index
4.409, 1, 1 1 1
3.818, 62, 2 0 0
2.700, 100, 2 2 0
2.205, 19, 2 2 2
1.909, 18, 4 0 0
1.708, 26, 4 2 0
1.559, 38, 4 2 2
1.350, 12, 4 4 0
1.273, 13, 6 0 0
1.208, 16, 6 2 0

---

No. 4
This entry pairs a crystal structure of CeMg14W with its theoretical X-ray diffraction stick pattern. Radiation: a wavelength of 1.5418 Å. Structure: a cell relaxed with PBE.
Lines closer than 0.1° are merged.

Structure:
```
data_CeMg14W
_chemical_formula_sum 'Ce1 Mg14 W1'
_cell_length_a 6.3331
_cell_length_b 6.3331
_cell_length_c 10.1572
_cell_angle_alpha 90.00
_cell_angle_beta 90.00
_cell_angle_gamma 120.00
_space_group_name_H-M_alt 'P -6 m 2'
_space_group_IT_number 187
_space_group_name_Hall 'P -6 2'
loop_
_atom_site_label
_atom_site_fract_x
_atom_site_fract_y
_atom_site_fract_z
_atom_site_occupancy
Ce1 0.0000 0.0000 0.0000 1
Mg1 0.0153 0.5077 0.0000 1
Mg2 0.1630 0.3260 0.2698 1
Mg3 0.5035 0.0071 0.5000 1
Mg4 0.6667 0.3333 0.2351 1
W1 0.0000 0.0000 0.5000 1
```

Largest 10 diffraction maxima, by angle, 2θ = 10–80°:
d_spacing, I (rel.), index
5.485, 80, 1 0 0
5.079, 23, 0 0 2
3.726, 61, 1 0 2
3.167, 21, 1 1 0
2.742, 34, 2 0 0
2.687, 27, 1 1 2
2.539, 23, 0 0 4
2.413, 100, 2 0 2
1.919, 22, 2 1 2
1.863, 22, 2 0 4